Simulated powder diffraction line list of Ta5Si3 for Cu Kα, from the GGA-PBE geometry in the Materials Project.

Most intense lines, 2θ = 10–80°, by intensity:
d_spacing  I_rel
2.194  100
2.441  81
2.076  61
2.238  51
1.398  45
3.165  45
3.372  44
2.282  30
2.564  26
1.416  24

```
data_Ta5Si3
_chemical_formula_sum 'Ta10 Si6'
_space_group_name_H-M_alt 'P 1'
_space_group_IT_number 1
_space_group_name_Hall 'P 1'
_cell_length_a 7.5276
_cell_length_b 7.5276
_cell_length_c 7.5276
_cell_angle_alpha 96.66
_cell_angle_beta 96.66
_cell_angle_gamma 140.18
loop_
_atom_site_label
_atom_site_fract_x
_atom_site_fract_y
_atom_site_fract_z
Ta1 0.0750 0.7798 0.8548
Ta2 0.2202 0.0750 0.2952
Ta3 0.2500 0.7500 0.5000
Ta4 0.2798 0.5750 0.8548
Ta5 0.4250 0.2798 0.7048
Ta6 0.5750 0.7202 0.2952
Ta7 0.7202 0.4250 0.1452
Ta8 0.7500 0.2500 0.5000
Ta9 0.7798 0.9250 0.7048
Ta10 0.9250 0.2202 0.1452
Si1 0.1656 0.3344 0.5000
Si2 0.2500 0.2500 0.0000
Si3 0.3344 0.8344 0.1689
Si4 0.6656 0.1656 0.8311
Si5 0.7500 0.7500 0.0000
Si6 0.8344 0.6656 0.5000
```